1.
# Er4ScIn3
Simulated PXRD pattern, Cu Kα (λ = 1.5418 Å). Input: a cell relaxed with PBE.
Neutral-atom scattering factors, no anomalous dispersion.

Atomic structure:
Unit cell a=9.2764 b=9.2764 c=9.2764 alpha=33.07 beta=33.07 gamma=33.07
Positions (direct):
Er1 0.1196 0.1196 0.1196
Er2 0.3726 0.3726 0.3726
Er3 0.6274 0.6274 0.6274
Er4 0.8804 0.8804 0.8804
Sc1 0.5000 0.5000 0.5000
In1 0.0000 0.0000 0.0000
In2 0.2405 0.2405 0.2405
In3 0.7595 0.7595 0.7595

Top 6 peaks for 10 to 90 degrees two-theta, low angle first:
| two_theta | I/Imax |
| --- | --- |
| 23.7 | 15.6 |
| 33.6 | 95.2 |
| 34.0 | 100.0 |
| 48.5 | 33.6 |
| 60.5 | 34.4 |
| 60.8 | 18.4 |


2.
# CaLa3Au
Simulated PXRD pattern, Cu Kα (λ = 1.5418 Å). Input: a cell relaxed with PBE.
Neutral-atom scattering factors, no anomalous dispersion.

Atomic structure:
Unit cell a=5.9297 b=5.9297 c=5.9297 alpha=90.00 beta=90.00 gamma=90.00
Positions (direct):
Ca1 0.0000 0.0000 0.0000
La1 0.0000 0.5000 0.5000
La2 0.5000 0.0000 0.5000
La3 0.5000 0.5000 0.0000
Au1 0.5000 0.5000 0.5000

Top 6 peaks for 10 to 90 degrees two-theta, low angle first:
| two_theta | I/Imax |
| --- | --- |
| 14.9 | 100.0 |
| 30.1 | 97.3 |
| 33.8 | 58.1 |
| 43.2 | 73.0 |
| 45.9 | 31.6 |
| 71.1 | 32.9 |


3.
# ErTm2Bi3
Simulated PXRD pattern, Cu Kα (λ = 1.5418 Å). Input: a cell relaxed with PBE.
Neutral-atom scattering factors, no anomalous dispersion.

Atomic structure:
Unit cell a=4.4362 b=6.2683 c=13.3062 alpha=90.00 beta=90.00 gamma=90.00
Positions (direct):
Er1 0.0000 0.0000 0.0000
Er2 0.5000 0.5000 0.5000
Tm1 0.0000 0.0000 0.3336
Tm2 0.0000 0.0000 0.6664
Tm3 0.5000 0.5000 0.1664
Tm4 0.5000 0.5000 0.8336
Bi1 0.0000 0.5000 0.0000
Bi2 0.0000 0.5000 0.3327
Bi3 0.0000 0.5000 0.6673
Bi4 0.5000 0.0000 0.1673
Bi5 0.5000 0.0000 0.5000
Bi6 0.5000 0.0000 0.8327

Top 6 peaks for 10 to 90 degrees two-theta, low angle first:
| two_theta | I/Imax |
| --- | --- |
| 28.5 | 100.0 |
| 40.7 | 78.1 |
| 50.4 | 28.3 |
| 58.9 | 13.4 |
| 66.7 | 37.2 |
| 74.1 | 27.8 |


4.
# PtAuCl
Simulated PXRD pattern, Cu Kα (λ = 1.5418 Å). Input: a cell relaxed with PBE.
Neutral-atom scattering factors, no anomalous dispersion.

Atomic structure:
Unit cell a=3.1046 b=5.4683 c=12.9897 alpha=90.00 beta=90.00 gamma=90.00
Positions (direct):
Pt1 0.0000 0.0000 0.0000
Pt2 0.0000 0.5000 0.5000
Pt3 0.5000 0.0000 0.5000
Pt4 0.5000 0.5000 0.0000
Au1 0.0000 0.0000 0.6680
Au2 0.0000 0.5000 0.1680
Au3 0.5000 0.0000 0.1680
Au4 0.5000 0.5000 0.6680
Cl1 0.0000 0.0000 0.3509
Cl2 0.0000 0.5000 0.8509
Cl3 0.5000 0.0000 0.8509
Cl4 0.5000 0.5000 0.3509

Top 6 peaks for 10 to 90 degrees two-theta, low angle first:
| two_theta | I/Imax |
| --- | --- |
| 13.6 | 41.4 |
| 32.8 | 41.4 |
| 33.9 | 21.6 |
| 39.3 | 100.0 |
| 41.7 | 20.7 |
| 62.9 | 25.3 |


5.
# DyPaOs2
Simulated PXRD pattern, Cu Kα (λ = 1.5418 Å). Input: a cell relaxed with PBE.
Neutral-atom scattering factors, no anomalous dispersion.

Atomic structure:
Unit cell a=5.7679 b=5.9039 c=10.8664 alpha=90.00 beta=109.75 gamma=90.00
Positions (direct):
Dy1 0.1955 0.1413 0.1488
Dy2 0.1955 0.8587 0.6488
Dy3 0.8045 0.1413 0.3512
Dy4 0.8045 0.8587 0.8512
Pa1 0.3136 0.3544 0.8549
Pa2 0.3136 0.6456 0.3549
Pa3 0.6864 0.3544 0.6451
Pa4 0.6864 0.6456 0.1451
Os1 0.1430 0.3659 0.6003
Os2 0.1430 0.6341 0.1003
Os3 0.3623 0.1697 0.4432
Os4 0.3623 0.8303 0.9432
Os5 0.6377 0.1697 0.0568
Os6 0.6377 0.8303 0.5568
Os7 0.8570 0.3659 0.8997
Os8 0.8570 0.6341 0.3997

Top 6 peaks for 10 to 90 degrees two-theta, low angle first:
| two_theta | I/Imax |
| --- | --- |
| 31.5 | 100.0 |
| 31.7 | 92.8 |
| 35.1 | 37.7 |
| 38.7 | 47.8 |
| 40.4 | 49.2 |
| 44.0 | 92.7 |


6.
# HoTh2OsC2
Simulated PXRD pattern, Cu Kα (λ = 1.5418 Å). Input: a cell relaxed with PBE.
Neutral-atom scattering factors, no anomalous dispersion.

Atomic structure:
Unit cell a=5.7811 b=11.1741 c=3.7778 alpha=90.00 beta=90.00 gamma=90.00
Positions (direct):
Ho1 0.0000 0.0000 0.0000
Ho2 0.5000 0.5000 0.5000
Th1 0.0431 0.2920 0.5000
Th2 0.4569 0.7920 0.0000
Th3 0.5431 0.2080 0.0000
Th4 0.9569 0.7080 0.5000
Os1 0.0000 0.5000 0.0000
Os2 0.5000 0.0000 0.5000
C1 0.2206 0.8882 0.5000
C2 0.2794 0.3882 0.0000
C3 0.7206 0.6118 0.0000
C4 0.7794 0.1118 0.5000

Top 6 peaks for 10 to 90 degrees two-theta, low angle first:
| two_theta | I/Imax |
| --- | --- |
| 30.9 | 27.7 |
| 32.0 | 19.8 |
| 32.5 | 100.0 |
| 45.1 | 12.1 |
| 48.2 | 10.9 |
| 56.0 | 16.0 |